PuThO6: calculated X-ray diffraction stick pattern (copper Kα), based on a cell relaxed with PBE.
No peak broadening, texture or thermal motion is included.

Cell and atoms:
```
data_PuThO6
_cell_length_a 5.5857
_cell_length_b 8.5956
_cell_length_c 5.4143
_cell_angle_alpha 90.00
_cell_angle_beta 100.76
_cell_angle_gamma 90.00
_space_group_name_H-M_alt 'C 1 2/m 1'
_space_group_IT_number 12
_space_group_name_Hall '-C 2y'
loop_
_atom_site_label
_atom_site_type_symbol
_atom_site_fract_x
_atom_site_fract_y
_atom_site_fract_z
_atom_site_occupancy
Pu1 Pu 0.0000 0.0000 0.0000 1
Th1 Th 0.0000 0.5000 0.5000 1
O1 O 0.2033 0.1459 0.2328 1
O2 O 0.2489 0.0000 0.7854 1
```

Top 12 peaks for 2θ from 10° to 80°, low angle first:
index  2θ (°)  d/Å  I (rel.)
0 2 0  20.7  4.298  70
1 1 -1  23.4  3.799  100
1 1 1  27.5  3.246  64
2 0 0  32.6  2.744  14
1 3 -1  37.9  2.373  18
2 2 0  38.9  2.313  24
0 2 2  39.9  2.262  24
1 3 1  40.7  2.219  33
2 0 -2  42.7  2.117  15
2 2 -2  47.9  1.899  16
3 1 -1  50.8  1.798  13
2 0 2  52.2  1.751  19